The following is a computed powder XRD pattern of AcDy2Si4. It was derived from a cell relaxed with PBE, using Cu Kα, 1.54184 Å.
Intensities are scaled so that the largest is 100.

The 10 most intense peaks (15 to 90 degrees two-theta), low angle first:
| hkl | d [Å] | I_rel |
| --- | --- | --- |
| 0 1 1 | 4.341 | 41.5 |
| 1 0 3 | 3.280 | 64.1 |
| 0 0 6 | 2.948 | 27.3 |
| 1 1 2 | 2.808 | 100.0 |
| 0 1 5 | 2.776 | 55.9 |
| 1 1 4 | 2.460 | 24.4 |
| 0 2 0 | 2.239 | 23.7 |
| 1 2 3 | 1.849 | 26.3 |
| 1 1 8 | 1.771 | 26.7 |
| 2 1 5 | 1.608 | 22.1 |

a = 3.947 Å, b = 4.478 Å, c = 17.688 Å
α = 90.00°, β = 90.00°, γ = 90.00°
Atoms (fractional coordinates):
Ac: 0.000 0.000 0.000
Ac: 0.500 0.500 0.500
Dy: 0.000 0.500 0.317
Dy: 0.000 0.500 0.683
Dy: 0.500 0.000 0.183
Dy: 0.500 0.000 0.817
Si: 0.000 0.000 0.430
Si: 0.000 0.000 0.570
Si: 0.000 0.500 0.152
Si: 0.000 0.500 0.848
Si: 0.500 0.000 0.348
Si: 0.500 0.000 0.652
Si: 0.500 0.500 0.070
Si: 0.500 0.500 0.930